Entry 1:
HfZnIrAu: simulated powder XRD pattern (a wavelength of 1.5418 Å), based on a cell relaxed with PBE.
No peak broadening, texture or thermal motion is included.

Cell and atoms:
Unit cell a=4.878 b=4.878 c=4.878 alpha=130.14 beta=130.14 gamma=73.18
Positions (direct):
Hf1 0.000 0.000 0.000
Zn1 0.500 0.500 0.000
Ir1 0.750 0.250 0.500
Au1 0.250 0.750 0.500

Principal peaks in the range 5° ≤ 2θ ≤ 70°, in order of rising 2θ:
d (Å)  2theta  Rel. int.
3.917  22.70  45
3.641  24.45  87
2.908  30.75  44
2.335  38.56  1000
2.056  44.04  345
1.959  46.36  149
1.821  50.10  24
1.790  51.01  25
1.454  64.04  114
1.418  65.86  209



Entry 2:
ScAg2Cl5: simulated powder XRD pattern (a wavelength of 1.5418 Å), based on a cell relaxed with PBE.
No peak broadening, texture or thermal motion is included.

Cell and atoms:
Unit cell a=6.152 b=6.845 c=6.847 alpha=80.20 beta=64.42 gamma=64.43
Positions (direct):
Sc1 0.000 0.000 0.000
Ag1 0.397 0.425 0.976
Ag2 0.397 0.976 0.425
Cl1 0.224 0.714 0.713
Cl2 0.367 0.023 0.023
Cl3 0.613 0.270 0.272
Cl4 0.927 0.261 0.717
Cl5 0.929 0.716 0.260

Principal peaks in the range 5° ≤ 2θ ≤ 70°, in order of rising 2θ:
d (Å)  2theta  Rel. int.
6.174  14.35  298
5.079  17.46  454
4.947  17.93  1000
4.323  20.54  265
3.326  26.80  242
3.292  27.09  783
2.638  33.98  351
2.522  35.59  264
2.203  40.97  478
2.159  41.84  412



Entry 3:
Ba6S5Br: simulated powder XRD pattern (a wavelength of 1.5418 Å), based on a cell relaxed with PBE.
No peak broadening, texture or thermal motion is included.

Cell and atoms:
Unit cell a=7.936 b=7.936 c=7.928 alpha=99.61 beta=99.61 gamma=119.98
Positions (direct):
Ba1 0.064 0.414 0.742
Ba2 0.238 0.238 0.259
Ba3 0.414 0.064 0.742
Ba4 0.586 0.936 0.258
Ba5 0.762 0.762 0.741
Ba6 0.936 0.586 0.258
S1 0.000 0.000 0.500
S2 0.167 0.833 0.000
S3 0.337 0.663 0.500
S4 0.663 0.337 0.500
S5 0.833 0.167 0.000
Br1 0.500 0.500 0.000

Principal peaks in the range 5° ≤ 2θ ≤ 70°, in order of rising 2θ:
d (Å)  2theta  Rel. int.
3.741  23.78  375
3.737  23.81  124
3.239  27.54  1000
2.290  39.34  733
1.953  46.50  241
1.870  48.70  254
1.619  56.86  117
1.486  62.48  71
1.485  62.55  25
1.448  64.31  317